For Pr8Er3Sc, a DFT-relaxed cell (PBE, Alexandria) gives the computed powder diffractogram in this record (Cu Kα).
Intensities are scaled so that the largest is 100.

Peak list (10 most intense, 10° ≤ 2θ ≤ 80°, by intensity)
36.0°, rel. 100
28.9°, rel. 77
25.4°, rel. 75
24.0°, rel. 74
30.4°, rel. 72
32.4°, rel. 55
42.5°, rel. 49
44.3°, rel. 38
57.7°, rel. 31
60.0°, rel. 29

Cell and atoms:
Lattice parameters (Å, degrees): 8.5198 8.5198 8.5198 118.38 118.38 92.83
Sites, in units of the cell vectors:
Pr1 0.1304 0.1304 0.7466
Pr2 0.2412 0.7213 0.0000
Pr3 0.2787 0.2787 0.5199
Pr4 0.3838 0.3838 0.2534
Pr5 0.6162 0.8696 0.0000
Pr6 0.7213 0.2412 0.0000
Pr7 0.7588 0.7588 0.4801
Pr8 0.8696 0.6162 0.0000
Er1 0.0000 0.0000 0.0000
Er2 0.2500 0.7500 0.5000
Er3 0.7500 0.2500 0.5000
Sc1 0.5000 0.5000 0.0000